For Na2Ti3Br9, the PBE geometry in Alexandria gives the calculated powder diffractogram in this record (Cu Kα).
Peak positions follow from Bragg's law for the DFT cell and can differ from measured ones.

Structure:
Cell: 10.1592 17.1409 9.9808 Å, 90.00 112.63 90.00°
Space group C2/m (No. 12)
One atom of each set of equivalent atoms:
Na 0.1162 0.1647 0.3573
Ti 0.1382 0.4108 0.1420
Ti 0.1537 0.5000 0.8668
Br 0.0000 0.2938 0.0000
Br 0.0005 0.3975 0.3081
Br 0.1837 0.1066 0.9805
Br 0.1846 0.0000 0.6727
Br 0.1856 0.0000 0.2902
Br 0.1907 0.2048 0.6682

Largest 10 diffraction maxima, sorted by position, 2θ from 10° to 90°:
two_theta	I_rel	h k l
28.15	337	1 5 -1
29.06	1000	0 0 3
29.83	398	2 4 -2
32.22	326	2 4 1
32.48	598	3 1 -3
36.09	723	1 5 2
38.30	242	4 0 -3
49.24	236	3 1 3
50.43	301	2 4 -5
52.35	290	5 5 -2

For Na2TiBr, the PBE geometry in Alexandria gives the calculated powder diffractogram in this record (Cu Kα).
Peak positions follow from Bragg's law for the DFT cell and can differ from measured ones.

Structure:
Cell: 9.7109 9.7109 5.2107 Å, 90.00 90.00 90.00°
Space group I-42d (No. 122)
One atom of each set of equivalent atoms:
Na 0.1621 0.2500 0.1250
Ti 0.0000 0.0000 0.5000
Br 0.0000 0.0000 0.0000

Largest 10 diffraction maxima, sorted by position, 2θ from 10° to 90°:
two_theta	I_rel	h k l
18.27	923	2 0 0
19.33	236	1 0 1
25.95	1000	2 2 0
36.90	616	1 1 2
37.03	320	4 0 0
41.59	414	4 2 0
45.67	603	3 1 2
53.29	238	3 3 2
60.21	350	5 1 2
78.79	208	8 0 0

For NaTlBr4, the PBE geometry in Alexandria gives the calculated powder diffractogram in this record (Cu Kα).
Peak positions follow from Bragg's law for the DFT cell and can differ from measured ones.

Structure:
Cell: 8.8592 10.4664 10.4692 Å, 90.00 90.00 90.00°
Space group C222_1 (No. 20)
One atom of each set of equivalent atoms:
Na 0.0000 0.1924 0.2500
Tl 0.1222 0.5000 0.5000
Br 0.0329 0.2871 0.9908
Br 0.2215 0.0210 0.7868

Largest 10 diffraction maxima, sorted by position, 2θ from 10° to 90°:
two_theta	I_rel	h k l
13.09	523	1 1 0
15.60	1000	1 1 1
16.94	535	0 2 0
21.47	798	1 1 2
26.36	848	2 2 0
27.73	583	2 2 1
34.27	565	0 0 4
37.02	372	2 2 3
43.73	518	3 3 2
47.89	539	4 2 2

For Na2Tl2Br7, the PBE geometry in Alexandria gives the calculated powder diffractogram in this record (Cu Kα).
Peak positions follow from Bragg's law for the DFT cell and can differ from measured ones.

Structure:
Cell: 9.8982 13.0601 7.1225 Å, 90.00 101.88 90.00°
Space group C2/m (No. 12)
One atom of each set of equivalent atoms:
Na 0.0000 0.1904 0.0000
Tl 0.2463 0.0000 0.6100
Br 0.0000 0.5000 0.5000
Br 0.0728 0.0000 0.2514
Br 0.2461 0.3228 0.1859

Largest 10 diffraction maxima, sorted by position, 2θ from 10° to 90°:
two_theta	I_rel	h k l
13.56	645	0 2 0
15.60	283	1 1 -1
18.32	491	2 0 0
18.44	657	1 1 1
18.62	1000	0 2 1
24.29	291	2 2 -1
28.80	615	3 1 -1
29.77	300	1 1 2
35.68	631	1 3 2
39.74	373	3 3 -2

For Na2TmTlBr6, the PBE geometry in Alexandria gives the calculated powder diffractogram in this record (Cu Kα).
Peak positions follow from Bragg's law for the DFT cell and can differ from measured ones.

Structure:
Cell: 7.5729 7.5729 20.7798 Å, 90.00 90.00 120.00°
Space group R3 (No. 146, hexagonal axes)
One atom of each set of equivalent atoms:
Na 0.0000 0.0000 0.0000
Na 0.0000 0.0000 0.4845
Tm 0.0000 0.0000 0.6771
Tl 0.0000 0.0000 0.1945
Br 0.0070 0.3146 0.7479
Br 0.0288 0.6266 0.2589

Largest 10 diffraction maxima, sorted by position, 2θ from 10° to 90°:
two_theta	I_rel	h k l
15.98	1000	0 1 2
21.83	494	1 0 4
26.83	804	1 1 3
28.54	244	2 0 2
32.28	239	0 2 4
35.12	837	2 -1 6
37.27	320	3 -2 2
40.31	319	3 -1 4
41.30	500	3 0 0
50.95	246	3 1 2

For NaTlZnBr4, the PBE geometry in Alexandria gives the calculated powder diffractogram in this record (Cu Kα).
Peak positions follow from Bragg's law for the DFT cell and can differ from measured ones.

Structure:
Cell: 7.1938 7.5403 8.8594 Å, 90.00 107.00 90.00°
Space group P2_1/m (No. 11)
One atom of each set of equivalent atoms:
Na 0.2302 0.2500 0.0583
Tl 0.2399 0.2500 0.5600
Zn 0.2328 0.7500 0.8212
Br 0.0054 0.0002 0.7731
Br 0.4268 0.7500 0.6384
Br 0.4468 0.7500 0.0881

Largest 10 diffraction maxima, sorted by position, 2θ from 10° to 90°:
two_theta	I_rel	h k l
18.31	824	1 1 -1
22.26	681	1 1 1
23.60	623	0 2 0
26.97	896	1 2 0
28.24	593	2 0 -2
30.25	1000	1 1 2
30.67	946	2 1 -2
31.76	680	0 2 2
31.91	602	1 2 -2
40.72	847	1 0 -4

For Na3TlZn4Br12, the PBE geometry in Alexandria gives the calculated powder diffractogram in this record (Cu Kα).
Peak positions follow from Bragg's law for the DFT cell and can differ from measured ones.

Structure:
Cell: 14.9311 14.9311 11.4512 Å, 90.00 90.00 120.00°
Space group R32 (No. 155, hexagonal axes)
One atom of each set of equivalent atoms:
Na 0.0000 0.5498 0.0000
Tl 0.0000 0.0000 0.0000
Zn 0.0000 0.0000 0.5000
Zn 0.0000 0.4442 0.5000
Br 0.0000 0.6016 0.5000
Br 0.0000 0.8431 0.5000
Br 0.0427 0.2149 0.1667

Largest 10 diffraction maxima, sorted by position, 2θ from 10° to 90°:
two_theta	I_rel	h k l
19.75	399	2 1 1
20.72	925	2 0 2
23.30	698	0 0 3
23.94	563	1 2 2
26.04	1000	1 3 1
29.39	437	3 1 2
31.73	428	4 1 0
39.60	317	5 1 1
52.02	475	0 7 2
59.56	332	7 0 4